Entry 1:
Computed powder diffractogram
Compound: NdTh
Radiation: λ = 1.5418 Å (Cu Kα)
Structure: a crystal structure in Alexandria, relaxed with PBE
Neutral-atom scattering factors, no anomalous dispersion.

Atomic structure:
```
6
Lattice="3.597 0.000 0.000 -1.798 3.115 0.000 0.000 0.000 17.845" Properties=species:S:1:pos:R:3 pbc="T T T"
Nd 0.000 0.000 0.000
Nd 0.000 2.077 11.897
Nd 1.798 1.038 5.948
Th 0.000 0.000 8.923
Th 0.000 2.077 2.974
Th 1.798 1.038 14.871
```

Largest 12 diffraction maxima, sorted by position, 2θ from 15° to 90°:
- 2θ = 30.0°, I 34.3
- 2θ = 30.4°, I 100.0
- 2θ = 35.1°, I 68.4
- 2θ = 50.3°, I 25.1
- 2θ = 50.8°, I 24.5
- 2θ = 59.7°, I 15.1
- 2θ = 60.1°, I 29.6
- 2θ = 60.3°, I 14.7
- 2θ = 63.2°, I 12.7
- 2θ = 82.7°, I 12.2
- 2θ = 84.5°, I 11.7
- 2θ = 85.3°, I 11.5

Entry 2:
Computed powder diffractogram
Compound: NaAc7Sn5
Radiation: λ = 1.5418 Å (Cu Kα)
Structure: a crystal structure in Alexandria, relaxed with PBE
Neutral-atom scattering factors, no anomalous dispersion.

Atomic structure:
```
13
Lattice="-3.496 5.853 5.917 3.496 -5.853 5.917 3.496 5.853 -5.917" Properties=species:S:1:pos:R:3 pbc="T T T"
Na 0.000 0.000 0.000
Ac 3.496 2.075 -0.668
Ac 3.496 0.000 2.260
Ac 3.496 -1.969 5.514
Ac 0.000 0.000 3.726
Ac 3.496 1.969 5.514
Ac 0.000 0.000 7.836
Ac 0.000 3.778 5.249
Sn 1.712 2.870 2.434
Sn 1.784 -2.983 8.352
Sn 0.000 5.853 2.464
Sn 1.712 8.837 2.434
Sn 1.784 2.983 8.352
```

Largest 12 diffraction maxima, sorted by position, 2θ from 15° to 90°:
- 2θ = 21.1°, I 20.2
- 2θ = 21.4°, I 20.0
- 2θ = 25.5°, I 30.9
- 2θ = 26.2°, I 39.7
- 2θ = 29.7°, I 37.7
- 2θ = 30.2°, I 51.9
- 2θ = 30.3°, I 55.9
- 2θ = 33.5°, I 100.0
- 2θ = 33.8°, I 27.7
- 2θ = 34.2°, I 37.0
- 2θ = 48.0°, I 20.2
- 2θ = 53.8°, I 26.1

Entry 3:
Computed powder diffractogram
Compound: NaGaPb6
Radiation: λ = 1.5418 Å (Cu Kα)
Structure: a crystal structure in Alexandria, relaxed with PBE
Neutral-atom scattering factors, no anomalous dispersion.

Atomic structure:
```
16
Lattice="6.747 0.000 0.000 0.000 11.889 0.000 -2.420 0.000 6.208" Properties=species:S:1:pos:R:3 pbc="T T T"
Na 0.000 0.000 0.000
Na 3.374 5.945 0.000
Ga -1.210 0.000 3.104
Ga 2.164 5.945 3.104
Pb -0.410 5.945 1.629
Pb -0.335 2.838 4.575
Pb -0.335 9.051 4.575
Pb 1.288 3.106 1.633
Pb 1.288 8.783 1.633
Pb 1.364 0.000 4.579
Pb 2.963 0.000 1.629
Pb 3.039 3.106 4.575
Pb 3.039 8.783 4.575
Pb 4.662 2.838 1.633
Pb 4.662 9.051 1.633
Pb 4.737 5.945 4.579
```

Largest 12 diffraction maxima, sorted by position, 2θ from 15° to 90°:
- 2θ = 15.9°, I 29.7
- 2θ = 28.1°, I 24.8
- 2θ = 28.8°, I 56.8
- 2θ = 30.1°, I 68.8
- 2θ = 32.2°, I 100.0
- 2θ = 35.8°, I 60.7
- 2θ = 39.6°, I 17.0
- 2θ = 42.1°, I 39.6
- 2θ = 50.6°, I 16.7
- 2θ = 54.8°, I 26.1
- 2θ = 58.0°, I 27.5
- 2θ = 68.2°, I 17.3

Entry 4:
Computed powder diffractogram
Compound: ZrMnAlNi
Radiation: λ = 1.5418 Å (Cu Kα)
Structure: a crystal structure in Alexandria, relaxed with PBE
Neutral-atom scattering factors, no anomalous dispersion.

Atomic structure:
```
16
Lattice="6.123 0.000 0.000 0.000 6.123 0.000 0.000 0.000 6.123" Properties=species:S:1:pos:R:3 pbc="T T T"
Zr 0.000 0.000 0.000
Zr 0.000 3.062 3.062
Zr 3.062 0.000 3.062
Zr 3.062 3.062 0.000
Mn 1.531 1.531 4.592
Mn 1.531 4.592 1.531
Mn 4.592 1.531 1.531
Mn 4.592 4.592 4.592
Al 0.000 0.000 3.062
Al 0.000 3.062 0.000
Al 3.062 0.000 0.000
Al 3.062 3.062 3.062
Ni 1.531 1.531 1.531
Ni 1.531 4.592 4.592
Ni 4.592 1.531 4.592
Ni 4.592 4.592 1.531
```

Largest 7 diffraction maxima, sorted by position, 2θ from 15° to 90°:
- 2θ = 25.2°, I 20.0
- 2θ = 41.7°, I 100.0
- 2θ = 49.4°, I 9.4
- 2θ = 60.5°, I 15.7
- 2θ = 66.6°, I 3.7
- 2θ = 76.2°, I 30.7
- 2θ = 81.7°, I 2.7

Entry 5:
Computed powder diffractogram
Compound: ZrTlCd
Radiation: λ = 1.5418 Å (Cu Kα)
Structure: a crystal structure in Alexandria, relaxed with PBE
Neutral-atom scattering factors, no anomalous dispersion.

Atomic structure:
```
6
Lattice="3.283 0.000 0.000 0.000 3.283 0.000 0.000 0.000 12.903" Properties=species:S:1:pos:R:3 pbc="T T T"
Zr 0.000 0.000 0.000
Zr 1.641 1.641 6.451
Tl 0.000 0.000 4.283
Tl 1.641 1.641 10.734
Cd 0.000 0.000 8.521
Cd 1.641 1.641 2.070
```

Largest 12 diffraction maxima, sorted by position, 2θ from 15° to 90°:
- 2θ = 27.7°, I 3.3
- 2θ = 28.0°, I 10.1
- 2θ = 34.4°, I 100.0
- 2θ = 38.8°, I 35.9
- 2θ = 42.0°, I 14.2
- 2θ = 48.3°, I 3.1
- 2θ = 56.0°, I 12.2
- 2θ = 58.5°, I 21.2
- 2θ = 67.4°, I 27.7
- 2θ = 71.9°, I 11.3
- 2θ = 72.4°, I 11.2
- 2θ = 83.2°, I 3.9

Entry 6:
Computed powder diffractogram
Compound: BeNbW3
Radiation: λ = 1.5418 Å (Cu Kα)
Structure: a crystal structure in Alexandria, relaxed with PBE
Neutral-atom scattering factors, no anomalous dispersion.

Atomic structure:
```
5
Lattice="4.290 0.000 0.000 0.000 4.290 0.000 0.000 0.000 4.290" Properties=species:S:1:pos:R:3 pbc="T T T"
Be 0.000 0.000 0.000
Nb 2.145 2.145 2.145
W 0.000 0.000 2.145
W 0.000 2.145 0.000
W 2.145 0.000 0.000
```

Largest 12 diffraction maxima, sorted by position, 2θ from 15° to 90°:
- 2θ = 20.7°, I 6.3
- 2θ = 29.4°, I 3.9
- 2θ = 36.3°, I 100.0
- 2θ = 42.1°, I 51.5
- 2θ = 47.4°, I 3.1
- 2θ = 52.2°, I 1.8
- 2θ = 61.1°, I 34.5
- 2θ = 65.3°, I 1.5
- 2θ = 69.3°, I 0.8
- 2θ = 73.2°, I 39.2
- 2θ = 77.0°, I 11.8
- 2θ = 84.5°, I 1.0